Record 1
The following is a theoretical XRD peak list of YMn6Sn6. It was derived from a crystal structure in Alexandria, relaxed with PBE, using Cu Kα.
Kinematic intensities with the Lorentz-polarization factor, no thermal factor.

Structural model:
Cell lengths 5.4516, 5.4516, 8.9702 Å; angles 90.00, 90.00, 120.00 degrees
Space group P6/mmm (No. 191)
One atom of each set of equivalent atoms:
Y (0.0000, 0.0000, 0.0000) x1
Mn (0.0000, 0.5000, 0.2485) x6
Sn (0.0000, 0.0000, 0.3337) x2
Sn (0.3333, 0.6667, 0.0000) x2
Sn (0.3333, 0.6667, 0.5000) x2

Most intense lines, 15 to 90 degrees two-theta, in order of rising 2θ:
- hkl 1 1 0, 2θ = 32.86°, I = 100
- hkl 1 0 3, 2θ = 35.54°, I = 37
- hkl 2 0 0, 2θ = 38.12°, I = 24
- hkl 1 1 2, 2θ = 38.65°, I = 83
- hkl 0 0 4, 2θ = 40.21°, I = 24
- hkl 2 0 2, 2θ = 43.31°, I = 69
- hkl 1 0 4, 2θ = 44.74°, I = 26
- hkl 3 0 2, 2θ = 62.55°, I = 20
- hkl 2 2 0, 2θ = 68.89°, I = 31
- hkl 1 1 6, 2θ = 72.05°, I = 37

=====

Record 2
The following is a theoretical XRD peak list of PaTaSi2Tc. It was derived from a crystal structure in Alexandria, relaxed with PBE, using Cu Kα.
Kinematic intensities with the Lorentz-polarization factor, no thermal factor.

Structural model:
Cell lengths 3.976, 3.976, 11.217 Å; angles 90.00, 90.00, 90.00 degrees
Space group I-4m2 (No. 119)
One atom of each set of equivalent atoms:
Pa (0.000, 0.000, 0.000) x2
Ta (0.000, 0.500, 0.250) x2
Si (0.000, 0.000, 0.395) x4
Tc (0.000, 0.500, 0.750) x2

Most intense lines, 15 to 90 degrees two-theta, in order of rising 2θ:
- hkl 1 0 1, 2θ = 23.74°, I = 39
- hkl 0 0 4, 2θ = 31.91°, I = 26
- hkl 1 0 3, 2θ = 32.88°, I = 31
- hkl 1 1 2, 2θ = 35.72°, I = 100
- hkl 2 0 0, 2θ = 45.63°, I = 31
- hkl 1 0 5, 2θ = 46.48°, I = 15
- hkl 2 0 4, 2θ = 56.76°, I = 21
- hkl 2 1 3, 2θ = 57.38°, I = 13
- hkl 1 1 6, 2θ = 59.36°, I = 19
- hkl 3 1 2, 2θ = 77.85°, I = 21

=====

Record 3
The following is a theoretical XRD peak list of Cu2Pd5Au4. It was derived from a crystal structure in Alexandria, relaxed with PBE, using Cu Kα.
Kinematic intensities with the Lorentz-polarization factor, no thermal factor.

Structural model:
Cell lengths 14.495, 3.952, 6.291 Å; angles 90.00, 104.47, 90.00 degrees
Space group C2/m (No. 12)
One atom of each set of equivalent atoms:
Cu (0.093, 0.000, 0.449) x4
Pd (0.000, 0.000, 0.000) x2
Pd (0.135, 0.500, 0.191) x4
Pd (0.228, 0.500, 0.629) x4
Au (0.044, 0.500, 0.720) x4
Au (0.181, 0.000, 0.905) x4

Most intense lines, 15 to 90 degrees two-theta, in order of rising 2θ:
- hkl 5 1 -1, 2θ = 39.12°, I = 100
- hkl 6 0 1, 2θ = 44.84°, I = 17
- hkl 4 0 -3, 2θ = 45.69°, I = 16
- hkl 0 2 0, 2θ = 45.93°, I = 16
- hkl 10 0 -2, 2θ = 65.95°, I = 11
- hkl 6 2 1, 2θ = 66.13°, I = 11
- hkl 11 1 0, 2θ = 78.82°, I = 13
- hkl 9 1 -4, 2θ = 80.05°, I = 12
- hkl 5 3 -1, 2θ = 80.39°, I = 12
- hkl 10 2 -2, 2θ = 84.08°, I = 11

=====

Record 4
The following is a theoretical XRD peak list of Sr2GdCu2RuO8. It was derived from a crystal structure in Alexandria, relaxed with PBE, using Cu Kα.
Kinematic intensities with the Lorentz-polarization factor, no thermal factor.

Structural model:
Cell lengths 5.467, 5.467, 11.725 Å; angles 90.00, 90.00, 90.00 degrees
Space group P4/mbm (No. 127)
One atom of each set of equivalent atoms:
Sr (0.000, 0.500, 0.190) x4
Gd (0.000, 0.500, 0.500) x2
Cu (0.000, 0.000, 0.357) x4
Ru (0.000, 0.000, 0.000) x2
O (0.000, 0.000, 0.167) x4
O (0.182, 0.318, 0.000) x4
O (0.249, 0.749, 0.373) x8

Most intense lines, 15 to 90 degrees two-theta, in order of rising 2θ:
- hkl 1 1 1, 2θ = 24.24°, I = 12
- hkl 1 1 3, 2θ = 32.58°, I = 100
- hkl 2 0 0, 2θ = 32.76°, I = 52
- hkl 1 1 4, 2θ = 38.55°, I = 11
- hkl 0 0 6, 2θ = 46.47°, I = 10
- hkl 2 2 0, 2θ = 47.02°, I = 32
- hkl 2 0 6, 2θ = 58.02°, I = 16
- hkl 3 1 3, 2θ = 58.37°, I = 40
- hkl 2 2 6, 2θ = 68.25°, I = 11
- hkl 4 2 0, 2θ = 78.20°, I = 9

=====

Question: Number 2 is which compound?
Answer: PaTaSi2Tc